(1)
Li6CdSn6: calculated powder diffraction line list (CuKα), based on the PBE geometry in Alexandria.
Intensities are scaled so that the largest is 100.

Cell and atoms:
```
Li6CdSn6
1.0
2.9093 -5.7394 0.0000
2.9093 5.7394 0.0000
0.0000 0.0000 9.4323
Li Cd Sn
6 1 6
direct
0.0000 0.0000 0.1820
0.0000 0.0000 0.8180
0.3492 0.6508 0.0000
0.3498 0.6502 0.5000
0.6502 0.3498 0.5000
0.6508 0.3492 0.0000
0.0000 0.0000 0.5000
0.0000 0.5000 0.2531
0.0000 0.5000 0.7469
0.5000 0.0000 0.2531
0.5000 0.0000 0.7469
0.5000 0.5000 0.2518
0.5000 0.5000 0.7482
```

Largest 10 diffraction maxima, low angle first, 2θ = 10–90°:
| Position (°2θ) | I/Imax |
| --- | --- |
| 18.82 | 100 |
| 24.43 | 36 |
| 25.52 | 63 |
| 31.17 | 58 |
| 33.87 | 37 |
| 34.57 | 91 |
| 36.66 | 44 |
| 38.16 | 36 |
| 39.64 | 69 |
| 52.43 | 55 |



(2)
CsCdPtF6: calculated powder diffraction line list (CuKα), based on the PBE geometry in Alexandria.
Intensities are scaled so that the largest is 100.

Cell and atoms:
```
CsCdPtF6
1.0
5.8271 0.0000 0.0000
-2.6710 5.2002 0.0000
-0.0987 -0.1358 6.3884
Cs Cd Pt F
1 1 1 6
direct
0.0000 0.0000 0.0000
0.3293 0.6714 0.5003
0.6711 0.3283 0.5004
0.9999 0.6087 0.2937
0.3806 0.3396 0.3350
0.3935 0.9985 0.7080
0.6493 0.0248 0.3322
0.6606 0.6173 0.6662
0.9764 0.3498 0.6679
```

Largest 10 diffraction maxima, low angle first, 2θ = 10–90°:
| Position (°2θ) | I/Imax |
| --- | --- |
| 13.86 | 84 |
| 21.82 | 100 |
| 22.31 | 92 |
| 22.64 | 99 |
| 27.93 | 40 |
| 29.38 | 39 |
| 30.67 | 71 |
| 40.42 | 35 |
| 41.69 | 34 |
| 42.16 | 29 |



(3)
K2SrSn2Se4: calculated powder diffraction line list (CuKα), based on the PBE geometry in Alexandria.
Intensities are scaled so that the largest is 100.

Cell and atoms:
```
K2SrSn2Se4
1.0
9.0326 -2.1329 0.0000
9.0326 2.1329 0.0000
-3.9485 0.0000 7.6472
K Sr Sn Se
2 1 2 4
direct
0.1155 0.1155 0.0478
0.8845 0.8845 0.9522
0.0000 0.0000 0.5000
0.3041 0.3041 0.4468
0.6959 0.6959 0.5532
0.1886 0.1886 0.7578
0.4568 0.4568 0.7171
0.5432 0.5432 0.2829
0.8114 0.8114 0.2422
```

Largest 10 diffraction maxima, low angle first, 2θ = 10–90°:
| Position (°2θ) | I/Imax |
| --- | --- |
| 11.57 | 76 |
| 25.91 | 53 |
| 29.50 | 48 |
| 30.10 | 100 |
| 35.81 | 15 |
| 39.30 | 13 |
| 41.37 | 25 |
| 42.38 | 26 |
| 43.91 | 24 |
| 52.48 | 19 |